No. 1
Calculated powder X-ray diffraction pattern
Compound: RbSr2BiSe4
Radiation: copper Kα
Structure: a cell relaxed with PBE
Intensities are scaled so that the largest is 1000.

Largest 6 diffraction maxima, sorted by position, 2θ = 15–90°:
two_theta, d_spacing, Rel. int.
28.1, 3.178, 1000
28.4, 3.145, 486
40.3, 2.236, 927
49.7, 1.834, 196
50.0, 1.823, 197
65.9, 1.418, 250

Structure:
```
16
Lattice="-4.476 4.513 6.290 4.476 -4.513 6.290 4.476 4.513 -6.290" Properties=species:S:1:pos:R:3 pbc="T T T"
Rb -2.238 2.257 3.145
Rb 2.238 2.257 3.145
Sr 0.000 0.000 0.000
Sr 2.238 2.257 -3.145
Sr 2.238 -2.257 3.145
Sr 0.000 4.513 0.000
Bi 4.476 0.000 0.000
Bi 0.000 0.000 6.290
Se 4.476 -0.160 3.034
Se 4.476 4.354 -3.034
Se 2.352 2.257 -0.084
Se 6.599 2.257 -0.084
Se -2.123 2.257 6.375
Se 2.123 2.257 6.375
Se 0.000 0.160 9.324
Se 0.000 4.673 3.257
```

***

No. 2
Calculated powder X-ray diffraction pattern
Compound: HgHRh
Radiation: copper Kα
Structure: a cell relaxed with PBE
Intensities are scaled so that the largest is 1000.

Largest 6 diffraction maxima, sorted by position, 2θ = 15–90°:
two_theta, d_spacing, Rel. int.
33.0, 2.715, 313
38.7, 2.329, 1000
39.8, 2.267, 200
52.6, 1.740, 172
58.9, 1.568, 190
73.4, 1.289, 199

Structure:
```
3
Lattice="3.135 0.000 0.000 -1.568 2.715 0.000 0.000 0.000 4.533" Properties=species:S:1:pos:R:3 pbc="T T T"
Hg 0.000 0.000 0.000
H 0.000 1.810 2.267
Rh 1.568 0.905 2.267
```

***

No. 3
Calculated powder X-ray diffraction pattern
Compound: Tb5Cd4Sn
Radiation: copper Kα
Structure: a cell relaxed with PBE
Intensities are scaled so that the largest is 1000.

Largest 6 diffraction maxima, sorted by position, 2θ = 15–90°:
two_theta, d_spacing, Rel. int.
33.7, 2.660, 1000
48.3, 1.884, 121
60.2, 1.537, 247
60.4, 1.533, 121
70.9, 1.329, 75
80.6, 1.191, 107

Structure:
```
10
Lattice="3.768 0.000 0.000 0.000 3.768 0.000 0.000 0.000 18.738" Properties=species:S:1:pos:R:3 pbc="T T T"
Tb 0.000 0.000 0.000
Tb 0.000 0.000 3.739
Tb 0.000 0.000 7.474
Tb 0.000 0.000 11.264
Tb 0.000 0.000 14.998
Cd 1.884 1.884 1.881
Cd 1.884 1.884 5.547
Cd 1.884 1.884 13.191
Cd 1.884 1.884 16.856
Sn 1.884 1.884 9.369
```

***

No. 4
Calculated powder X-ray diffraction pattern
Compound: SbMoCI2
Radiation: copper Kα
Structure: a cell relaxed with PBE
Intensities are scaled so that the largest is 1000.

Largest 6 diffraction maxima, sorted by position, 2θ = 15–90°:
two_theta, d_spacing, Rel. int.
16.2, 5.484, 1000
16.8, 5.284, 504
28.6, 3.126, 959
32.7, 2.742, 959
33.9, 2.642, 432
47.8, 1.902, 642

Structure:
```
5
Lattice="5.484 0.000 0.000 0.000 5.484 0.000 0.000 0.000 5.284" Properties=species:S:1:pos:R:3 pbc="T T T"
Sb 0.000 0.000 0.000
Mo 0.000 0.000 2.642
C 2.742 2.742 0.000
I 0.000 2.742 2.642
I 2.742 0.000 2.642
```

***

No. 5
Calculated powder X-ray diffraction pattern
Compound: Mg3H4Ir3
Radiation: copper Kα
Structure: a cell relaxed with PBE
Intensities are scaled so that the largest is 1000.

Largest 6 diffraction maxima, sorted by position, 2θ = 15–90°:
two_theta, d_spacing, Rel. int.
19.4, 4.583, 530
21.8, 4.075, 1000
35.2, 2.548, 309
38.0, 2.366, 653
39.3, 2.293, 607
39.4, 2.286, 525

Structure:
```
10
Lattice="5.094 0.000 0.000 2.010 4.949 0.000 2.018 1.861 4.588" Properties=species:S:1:pos:R:3 pbc="T T T"
Mg 0.000 0.000 0.000
Mg 1.924 2.305 1.550
Mg 5.610 4.662 3.153
H 2.673 0.486 0.348
H 4.114 2.175 1.490
H 5.351 2.412 0.034
H 7.392 5.859 2.270
Ir 3.067 4.535 3.100
Ir 4.497 3.776 0.905
Ir 4.518 2.232 3.187
```

***

No. 6
Calculated powder X-ray diffraction pattern
Compound: LaTlPt
Radiation: copper Kα
Structure: a cell relaxed with PBE
Intensities are scaled so that the largest is 1000.

Largest 6 diffraction maxima, sorted by position, 2θ = 15–90°:
two_theta, d_spacing, Rel. int.
31.4, 2.847, 1000
33.9, 2.645, 641
34.1, 2.631, 751
38.6, 2.331, 412
40.8, 2.210, 357
45.5, 1.993, 463

Structure:
```
18
Lattice="14.140 0.000 0.000 0.000 3.987 0.000 0.000 0.000 8.047" Properties=species:S:1:pos:R:3 pbc="T T T"
La 0.664 0.000 1.818
La 3.535 0.000 6.825
La 6.406 0.000 1.818
La 7.734 0.000 6.228
La 10.605 0.000 1.221
La 13.476 0.000 6.228
Tl 1.648 1.994 4.578
Tl 3.535 1.994 1.551
Tl 5.422 1.994 4.578
Tl 8.718 1.994 3.469
Tl 10.605 1.994 6.495
Tl 12.492 1.994 3.469
Pt 1.354 1.994 7.548
Pt 3.535 0.000 3.620
Pt 5.716 1.994 7.548
Pt 8.424 1.994 0.498
Pt 10.605 0.000 4.427
Pt 12.786 1.994 0.498
```

***

No. 7
Calculated powder X-ray diffraction pattern
Compound: MgScS3
Radiation: copper Kα
Structure: a cell relaxed with PBE
Intensities are scaled so that the largest is 1000.

Largest 6 diffraction maxima, sorted by position, 2θ = 15–90°:
two_theta, d_spacing, Rel. int.
15.5, 5.720, 907
15.9, 5.588, 1000
36.0, 2.495, 768
38.3, 2.349, 801
43.3, 2.091, 858
44.9, 2.021, 663

Structure:
```
10
Lattice="3.673 -5.720 0.000 3.673 5.720 0.000 -3.575 0.000 5.588" Properties=species:S:1:pos:R:3 pbc="T T T"
Mg 3.673 3.874 0.000
Mg 3.673 -3.874 0.000
Sc -0.633 0.000 4.213
Sc 4.404 0.000 1.375
S -0.436 0.000 1.696
S 2.613 1.679 0.877
S 1.158 1.679 4.710
S 2.613 -1.679 0.877
S 1.158 -1.679 4.710
S 4.206 0.000 3.892
```

***

No. 8
Calculated powder X-ray diffraction pattern
Compound: Pr2GeBRh6
Radiation: copper Kα
Structure: a cell relaxed with PBE
Intensities are scaled so that the largest is 1000.

Largest 6 diffraction maxima, sorted by position, 2θ = 15–90°:
two_theta, d_spacing, Rel. int.
34.8, 2.577, 1000
35.3, 2.545, 938
40.5, 2.229, 818
41.1, 2.195, 468
59.1, 1.564, 512
69.7, 1.349, 202

Structure:
```
20
Lattice="6.365 0.000 0.000 0.000 8.780 0.000 0.000 0.000 6.246" Properties=species:S:1:pos:R:3 pbc="T T T"
Pr 1.591 0.031 1.493
Pr 1.591 4.359 1.493
Pr 4.774 4.421 4.753
Pr 4.774 8.749 4.753
Ge 1.591 6.585 5.054
Ge 4.774 2.195 1.192
B 1.591 2.195 4.307
B 4.774 6.585 1.939
Rh 0.089 6.585 3.135
Rh 0.230 2.195 5.956
Rh 1.591 0.135 4.461
Rh 1.591 4.255 4.461
Rh 2.953 2.195 5.956
Rh 3.094 6.585 3.135
Rh 3.272 2.195 3.111
Rh 3.412 6.585 0.290
Rh 4.774 4.525 1.785
Rh 4.774 8.645 1.785
Rh 6.136 6.585 0.290
Rh 6.276 2.195 3.111
```

***

No. 9
Calculated powder X-ray diffraction pattern
Compound: LaPmPr
Radiation: copper Kα
Structure: a cell relaxed with PBE
Intensities are scaled so that the largest is 1000.

Largest 6 diffraction maxima, sorted by position, 2θ = 15–90°:
two_theta, d_spacing, Rel. int.
30.5, 2.935, 1000
30.5, 2.929, 444
43.6, 2.074, 254
54.1, 1.696, 248
54.2, 1.694, 172
60.5, 1.530, 216

Structure:
```
6
Lattice="-3.583 5.092 2.934 3.583 -5.092 2.934 3.583 5.092 -2.934" Properties=species:S:1:pos:R:3 pbc="T T T"
La 1.792 1.750 0.000
La 1.792 3.342 2.934
Pm 5.375 1.679 0.019
Pm -1.792 3.413 2.952
Pr 0.000 5.092 0.011
Pr 0.000 0.000 2.945
```

***

No. 10
Calculated powder X-ray diffraction pattern
Compound: Pm2Sm5Tm12
Radiation: copper Kα
Structure: a cell relaxed with PBE
Intensities are scaled so that the largest is 1000.

Largest 6 diffraction maxima, sorted by position, 2θ = 15–90°:
two_theta, d_spacing, Rel. int.
30.9, 2.891, 1000
31.0, 2.885, 331
35.9, 2.503, 674
51.6, 1.771, 321
61.4, 1.511, 191
61.5, 1.509, 332

Structure:
```
19
Lattice="6.129 0.000 0.000 -0.014 9.378 0.000 -1.032 -2.032 10.363" Properties=species:S:1:pos:R:3 pbc="T T T"
Pm -0.004 2.008 4.909
Pm 5.086 5.338 5.455
Sm 1.008 8.025 4.360
Sm 2.035 3.348 0.543
Sm 3.064 0.000 0.000
Sm 3.047 3.998 9.821
Sm 4.075 -0.679 6.004
Tm -0.006 0.668 1.625
Tm -0.019 3.326 8.191
Tm 1.006 6.699 1.084
Tm 1.008 -0.016 7.649
Tm 2.039 4.679 3.812
Tm 2.016 6.004 7.096
Tm 3.066 1.342 3.267
Tm 3.044 2.666 6.551
Tm 4.075 7.361 2.714
Tm 4.076 0.647 9.279
Tm 5.101 4.020 2.173
Tm 5.088 6.677 8.739
```

***

No. 11
Calculated powder X-ray diffraction pattern
Compound: La3Er4In2
Radiation: copper Kα
Structure: a cell relaxed with PBE
Intensities are scaled so that the largest is 1000.

Largest 6 diffraction maxima, sorted by position, 2θ = 15–90°:
two_theta, d_spacing, Rel. int.
29.8, 2.996, 913
30.9, 2.892, 862
31.9, 2.803, 1000
32.4, 2.765, 937
33.3, 2.687, 893
34.8, 2.576, 488

Structure:
```
18
Lattice="6.582 -6.771 0.000 6.582 6.771 0.000 -0.537 0.000 6.448" Properties=species:S:1:pos:R:3 pbc="T T T"
La 6.180 6.268 4.836
La 4.953 0.991 2.657
La 4.685 -0.991 5.881
La 7.944 0.991 0.567
La 7.675 -0.991 3.792
La 6.448 -6.268 1.612
Er 4.353 4.443 2.631
Er 4.638 2.971 5.898
Er 8.544 4.443 0.594
Er 7.722 2.971 3.775
Er 4.906 -2.971 2.673
Er 4.085 -4.443 5.855
Er 7.990 -2.971 0.551
Er 8.275 -4.443 3.818
In 2.736 0.960 0.218
In 2.467 -0.960 3.443
In 10.161 0.960 3.006
In 9.892 -0.960 6.230
```

***

No. 12
Calculated powder X-ray diffraction pattern
Compound: BaMg14Zr
Radiation: copper Kα
Structure: a cell relaxed with PBE
Intensities are scaled so that the largest is 1000.

Largest 6 diffraction maxima, sorted by position, 2θ = 15–90°:
two_theta, d_spacing, Rel. int.
15.4, 5.758, 427
23.0, 3.866, 373
31.1, 2.879, 300
34.4, 2.608, 231
35.6, 2.520, 1000
55.3, 1.663, 210

Structure:
```
16
Lattice="6.649 0.000 0.000 -3.324 5.758 0.000 0.000 0.000 10.432" Properties=species:S:1:pos:R:3 pbc="T T T"
Ba 0.000 0.000 0.000
Mg -1.575 2.929 0.000
Mg 0.000 1.961 2.778
Mg 0.000 1.961 7.654
Mg -1.626 4.777 2.778
Mg -1.626 4.777 7.654
Mg 1.575 2.929 0.000
Mg 0.000 5.657 0.000
Mg 3.324 0.019 5.216
Mg 1.679 2.869 5.216
Mg 1.626 4.777 2.778
Mg 1.626 4.777 7.654
Mg 3.324 1.919 2.519
Mg 3.324 1.919 7.913
Mg 4.970 2.869 5.216
Zr 0.000 0.000 5.216
```

***

No. 13
Calculated powder X-ray diffraction pattern
Compound: Sr6HgAu2
Radiation: copper Kα
Structure: a cell relaxed with PBE
Intensities are scaled so that the largest is 1000.

Largest 6 diffraction maxima, sorted by position, 2θ = 15–90°:
two_theta, d_spacing, Rel. int.
17.1, 5.183, 542
29.6, 3.017, 541
29.9, 2.985, 1000
30.8, 2.903, 720
34.5, 2.600, 463
53.0, 1.727, 454

Structure:
```
18
Lattice="-5.183 5.503 5.912 5.183 -5.503 5.912 5.183 5.503 -5.912" Properties=species:S:1:pos:R:3 pbc="T T T"
Sr 5.183 3.395 -3.062
Sr 2.931 1.928 0.000
Sr 7.435 1.928 0.000
Sr 1.964 5.503 -1.920
Sr 3.219 0.000 3.992
Sr 0.000 2.108 2.850
Sr 5.183 3.395 3.062
Sr 1.964 5.503 1.920
Sr 3.219 0.000 7.832
Sr -2.252 3.575 5.912
Sr 2.252 3.575 5.912
Sr 0.000 2.108 8.974
Hg 0.000 0.000 0.000
Hg 0.000 0.000 5.912
Au 5.183 0.000 1.517
Au 0.000 3.629 0.000
Au 0.000 7.376 0.000
Au 0.000 5.503 4.395
```